The following is a theoretical powder XRD pattern of Y2In8Co. It was derived from a cell relaxed with PBE, using Cu Kα, 1.54184 Å.
Kinematic intensities with the Lorentz-polarization factor, no thermal factor.

Crystal structure
```
data_Y2In8Co
_chemical_formula_sum 'Y2 In8 Co1'
_cell_length_a 4.671
_cell_length_b 4.671
_cell_length_c 11.954
_cell_angle_alpha 90.00
_cell_angle_beta 90.00
_cell_angle_gamma 90.00
_symmetry_space_group_name_H-M 'P 1'
_symmetry_Int_Tables_number 1
loop_
_symmetry_equiv_pos_as_xyz
'x,y,z'
loop_
_atom_site_label
_atom_site_type_symbol
_atom_site_fract_x
_atom_site_fract_y
_atom_site_fract_z
Y1 Y 0.000 0.000 0.194
Y2 Y 0.000 0.000 0.806
In1 In 0.000 0.500 0.000
In2 In 0.000 0.500 0.380
In3 In 0.000 0.500 0.620
In4 In 0.500 0.000 0.000
In5 In 0.500 0.000 0.380
In6 In 0.500 0.000 0.620
In7 In 0.500 0.500 0.198
In8 In 0.500 0.500 0.802
Co1 Co 0.000 0.000 0.500
```

Top 10 peaks for 2θ = 10–90°, low angle first:
d = 2.891 Å, 30.93 deg, I = 44; d = 2.543 Å, 35.30 deg, I = 100; d = 2.391 Å, 37.62 deg, I = 22; d = 2.335 Å, 38.55 deg, I = 61; d = 2.216 Å, 40.72 deg, I = 11; d = 1.671 Å, 54.96 deg, I = 28; d = 1.651 Å, 55.66 deg, I = 20; d = 1.385 Å, 67.65 deg, I = 28; d = 1.361 Å, 68.98 deg, I = 15; d = 1.359 Å, 69.14 deg, I = 14

The following is a theoretical powder XRD pattern of Rb2YTlI6. It was derived from a cell relaxed with PBE, using Cu Kα, 1.54184 Å.
Kinematic intensities with the Lorentz-polarization factor, no thermal factor.

Crystal structure
```
data_Rb2YTlI6
_chemical_formula_sum 'Rb2 Y1 Tl1 I6'
_cell_length_a 9.052
_cell_length_b 9.052
_cell_length_c 9.052
_cell_angle_alpha 60.00
_cell_angle_beta 60.00
_cell_angle_gamma 60.00
_symmetry_space_group_name_H-M 'P 1'
_symmetry_Int_Tables_number 1
loop_
_symmetry_equiv_pos_as_xyz
'x,y,z'
loop_
_atom_site_label
_atom_site_type_symbol
_atom_site_fract_x
_atom_site_fract_y
_atom_site_fract_z
Rb1 Rb 0.250 0.250 0.250
Rb2 Rb 0.750 0.750 0.750
Y1 Y 0.000 0.000 0.000
Tl1 Tl 0.500 0.500 0.500
I1 I 0.236 0.236 0.764
I2 I 0.236 0.764 0.236
I3 I 0.236 0.764 0.764
I4 I 0.764 0.236 0.236
I5 I 0.764 0.236 0.764
I6 I 0.764 0.764 0.236
```

Top 10 peaks for 2θ = 10–90°, low angle first:
d = 6.401 Å, 13.83 deg, I = 50; d = 4.526 Å, 19.61 deg, I = 16; d = 3.696 Å, 24.08 deg, I = 53; d = 3.201 Å, 27.88 deg, I = 100; d = 2.863 Å, 31.25 deg, I = 26; d = 2.263 Å, 39.83 deg, I = 74; d = 1.930 Å, 47.09 deg, I = 23; d = 1.848 Å, 49.32 deg, I = 26; d = 1.431 Å, 65.18 deg, I = 32; d = 1.307 Å, 72.32 deg, I = 23

The following is a theoretical powder XRD pattern of Nd2CoSi3. It was derived from a cell relaxed with PBE, using Cu Kα, 1.54184 Å.
Kinematic intensities with the Lorentz-polarization factor, no thermal factor.

Crystal structure
```
data_Nd2CoSi3
_chemical_formula_sum 'Nd2 Co1 Si3'
_cell_length_a 4.033
_cell_length_b 4.033
_cell_length_c 8.528
_cell_angle_alpha 90.00
_cell_angle_beta 90.00
_cell_angle_gamma 120.00
_symmetry_space_group_name_H-M 'P 1'
_symmetry_Int_Tables_number 1
loop_
_symmetry_equiv_pos_as_xyz
'x,y,z'
loop_
_atom_site_label
_atom_site_type_symbol
_atom_site_fract_x
_atom_site_fract_y
_atom_site_fract_z
Nd1 Nd 0.000 0.000 0.247
Nd2 Nd 0.000 0.000 0.753
Co1 Co 0.333 0.667 0.000
Si1 Si 0.333 0.667 0.500
Si2 Si 0.667 0.333 0.000
Si3 Si 0.667 0.333 0.500
```

Top 10 peaks for 2θ = 10–90°, low angle first:
d = 4.264 Å, 20.83 deg, I = 7; d = 3.492 Å, 25.50 deg, I = 34; d = 2.702 Å, 33.16 deg, I = 100; d = 2.132 Å, 42.40 deg, I = 12; d = 2.016 Å, 44.96 deg, I = 30; d = 1.821 Å, 50.10 deg, I = 16; d = 1.616 Å, 56.99 deg, I = 21; d = 1.465 Å, 63.50 deg, I = 21; d = 1.316 Å, 71.69 deg, I = 10; d = 1.261 Å, 75.38 deg, I = 18

The following is a theoretical powder XRD pattern of MgTi2O4. It was derived from a cell relaxed with PBE, using Cu Kα, 1.54184 Å.
Kinematic intensities with the Lorentz-polarization factor, no thermal factor.

Crystal structure
```
data_MgTi2O4
_chemical_formula_sum 'Mg2 Ti4 O8'
_cell_length_a 6.124
_cell_length_b 6.124
_cell_length_c 6.124
_cell_angle_alpha 57.94
_cell_angle_beta 57.94
_cell_angle_gamma 57.94
_symmetry_space_group_name_H-M 'P 1'
_symmetry_Int_Tables_number 1
loop_
_symmetry_equiv_pos_as_xyz
'x,y,z'
loop_
_atom_site_label
_atom_site_type_symbol
_atom_site_fract_x
_atom_site_fract_y
_atom_site_fract_z
Mg1 Mg 0.000 0.000 0.000
Mg2 Mg 0.366 0.366 0.366
Ti1 Ti 0.506 0.987 0.987
Ti2 Ti 0.615 0.615 0.615
Ti3 Ti 0.987 0.506 0.987
Ti4 Ti 0.987 0.987 0.506
O1 O 0.228 0.753 0.753
O2 O 0.234 0.234 0.234
O3 O 0.243 0.243 0.772
O4 O 0.243 0.772 0.243
O5 O 0.737 0.737 0.737
O6 O 0.753 0.228 0.753
O7 O 0.753 0.753 0.228
O8 O 0.772 0.243 0.243
```

Top 10 peaks for 2θ = 10–90°, low angle first:
d = 5.077 Å, 17.47 deg, I = 40; d = 3.059 Å, 29.19 deg, I = 50; d = 2.620 Å, 34.22 deg, I = 48; d = 2.561 Å, 35.03 deg, I = 100; d = 2.533 Å, 35.43 deg, I = 87; d = 2.130 Å, 42.44 deg, I = 86; d = 1.660 Å, 55.33 deg, I = 26; d = 1.638 Å, 56.17 deg, I = 28; d = 1.530 Å, 60.53 deg, I = 67; d = 1.483 Å, 62.63 deg, I = 61

The following is a theoretical powder XRD pattern of LiGe. It was derived from a cell relaxed with PBE, using Cu Kα, 1.54184 Å.
Kinematic intensities with the Lorentz-polarization factor, no thermal factor.

Crystal structure
```
data_LiGe
_chemical_formula_sum 'Li6 Ge6'
_cell_length_a 12.022
_cell_length_b 12.022
_cell_length_c 12.022
_cell_angle_alpha 160.51
_cell_angle_beta 160.51
_cell_angle_gamma 27.70
_symmetry_space_group_name_H-M 'P 1'
_symmetry_Int_Tables_number 1
loop_
_symmetry_equiv_pos_as_xyz
'x,y,z'
loop_
_atom_site_label
_atom_site_type_symbol
_atom_site_fract_x
_atom_site_fract_y
_atom_site_fract_z
Li1 Li 0.038 0.288 0.750
Li2 Li 0.125 0.875 0.250
Li3 Li 0.288 0.038 0.250
Li4 Li 0.712 0.962 0.750
Li5 Li 0.875 0.125 0.750
Li6 Li 0.962 0.712 0.250
Ge1 Ge 0.202 0.452 0.750
Ge2 Ge 0.375 0.625 0.750
Ge3 Ge 0.452 0.202 0.250
Ge4 Ge 0.548 0.798 0.750
Ge5 Ge 0.625 0.375 0.250
Ge6 Ge 0.798 0.548 0.250
```

Top 10 peaks for 2θ = 10–90°, low angle first:
d = 4.010 Å, 22.17 deg, I = 70; d = 3.607 Å, 24.69 deg, I = 14; d = 3.068 Å, 29.11 deg, I = 53; d = 2.314 Å, 38.92 deg, I = 100; d = 2.035 Å, 44.52 deg, I = 35; d = 1.882 Å, 48.37 deg, I = 17; d = 1.814 Å, 50.29 deg, I = 18; d = 1.696 Å, 54.08 deg, I = 18; d = 1.406 Å, 66.49 deg, I = 18; d = 1.222 Å, 78.23 deg, I = 25

The following is a theoretical powder XRD pattern of Dy5Sn18Rh6. It was derived from a cell relaxed with PBE, using Cu Kα, 1.54184 Å.
Kinematic intensities with the Lorentz-polarization factor, no thermal factor.

Crystal structure
```
data_Dy5Sn18Rh6
_chemical_formula_sum 'Dy5 Sn18 Rh6'
_cell_length_a 9.918
_cell_length_b 9.918
_cell_length_c 9.918
_cell_angle_alpha 60.00
_cell_angle_beta 60.00
_cell_angle_gamma 60.00
_symmetry_space_group_name_H-M 'P 1'
_symmetry_Int_Tables_number 1
loop_
_symmetry_equiv_pos_as_xyz
'x,y,z'
loop_
_atom_site_label
_atom_site_type_symbol
_atom_site_fract_x
_atom_site_fract_y
_atom_site_fract_z
Dy1 Dy 0.000 0.000 0.000
Dy2 Dy 0.110 0.630 0.630
Dy3 Dy 0.630 0.110 0.630
Dy4 Dy 0.630 0.630 0.110
Dy5 Dy 0.630 0.630 0.630
Sn1 Sn 0.008 0.008 0.342
Sn2 Sn 0.008 0.008 0.642
Sn3 Sn 0.008 0.342 0.008
Sn4 Sn 0.008 0.342 0.642
Sn5 Sn 0.008 0.642 0.008
Sn6 Sn 0.008 0.642 0.342
Sn7 Sn 0.250 0.250 0.250
Sn8 Sn 0.342 0.008 0.008
Sn9 Sn 0.342 0.008 0.642
Sn10 Sn 0.342 0.642 0.008
Sn11 Sn 0.412 0.412 0.412
Sn12 Sn 0.412 0.412 0.764
Sn13 Sn 0.412 0.764 0.412
Sn14 Sn 0.642 0.008 0.008
Sn15 Sn 0.642 0.008 0.342
Sn16 Sn 0.642 0.342 0.008
Sn17 Sn 0.750 0.750 0.750
Sn18 Sn 0.764 0.412 0.412
Rh1 Rh 0.254 0.254 0.746
Rh2 Rh 0.254 0.746 0.254
Rh3 Rh 0.254 0.746 0.746
Rh4 Rh 0.746 0.254 0.254
Rh5 Rh 0.746 0.254 0.746
Rh6 Rh 0.746 0.746 0.254
```

Top 10 peaks for 2θ = 10–90°, low angle first:
d = 2.863 Å, 31.24 deg, I = 18; d = 2.699 Å, 33.19 deg, I = 100; d = 2.479 Å, 36.23 deg, I = 40; d = 2.371 Å, 37.95 deg, I = 17; d = 2.338 Å, 38.51 deg, I = 17; d = 2.114 Å, 42.76 deg, I = 32; d = 1.653 Å, 55.60 deg, I = 30; d = 1.432 Å, 65.17 deg, I = 21; d = 1.410 Å, 66.31 deg, I = 15; d = 1.185 Å, 81.13 deg, I = 11

The following is a theoretical powder XRD pattern of Ag2Se. It was derived from a cell relaxed with PBE, using Cu Kα, 1.54184 Å.
Kinematic intensities with the Lorentz-polarization factor, no thermal factor.

Crystal structure
```
data_Ag2Se
_chemical_formula_sum 'Ag8 Se4'
_cell_length_a 7.348
_cell_length_b 7.938
_cell_length_c 4.582
_cell_angle_alpha 90.00
_cell_angle_beta 90.00
_cell_angle_gamma 90.00
_symmetry_space_group_name_H-M 'P 1'
_symmetry_Int_Tables_number 1
loop_
_symmetry_equiv_pos_as_xyz
'x,y,z'
loop_
_atom_site_label
_atom_site_type_symbol
_atom_site_fract_x
_atom_site_fract_y
_atom_site_fract_z
Ag1 Ag 0.103 0.244 0.006
Ag2 Ag 0.103 0.756 0.994
Ag3 Ag 0.385 0.500 0.000
Ag4 Ag 0.391 0.000 0.000
Ag5 Ag 0.609 0.000 0.500
Ag6 Ag 0.615 0.500 0.500
Ag7 Ag 0.897 0.244 0.494
Ag8 Ag 0.897 0.756 0.506
Se1 Se 0.294 0.251 0.520
Se2 Se 0.294 0.749 0.480
Se3 Se 0.706 0.251 0.980
Se4 Se 0.706 0.749 0.020
```

Top 10 peaks for 2θ = 10–90°, low angle first:
d = 3.492 Å, 25.51 deg, I = 53; d = 2.777 Å, 32.23 deg, I = 16; d = 2.324 Å, 38.75 deg, I = 100; d = 2.291 Å, 39.33 deg, I = 32; d = 2.160 Å, 41.82 deg, I = 38; d = 1.984 Å, 45.72 deg, I = 23; d = 1.916 Å, 47.46 deg, I = 19; d = 1.500 Å, 61.85 deg, I = 16; d = 1.461 Å, 63.68 deg, I = 20; d = 1.329 Å, 70.91 deg, I = 15

The following is a theoretical powder XRD pattern of Ba2Ti2AlF11. It was derived from a cell relaxed with PBE, using Cu Kα, 1.54184 Å.
Kinematic intensities with the Lorentz-polarization factor, no thermal factor.

Crystal structure
```
data_Ba2Ti2AlF11
_chemical_formula_sum 'Ba6 Ti6 Al3 F33'
_cell_length_a 7.477
_cell_length_b 7.477
_cell_length_c 14.101
_cell_angle_alpha 90.00
_cell_angle_beta 90.00
_cell_angle_gamma 120.00
_symmetry_space_group_name_H-M 'P 1'
_symmetry_Int_Tables_number 1
loop_
_symmetry_equiv_pos_as_xyz
'x,y,z'
loop_
_atom_site_label
_atom_site_type_symbol
_atom_site_fract_x
_atom_site_fract_y
_atom_site_fract_z
Ba1 Ba 0.005 0.124 0.000
Ba2 Ba 0.119 0.995 0.333
Ba3 Ba 0.519 0.179 0.803
Ba4 Ba 0.660 0.481 0.136
Ba5 Ba 0.821 0.340 0.469
Ba6 Ba 0.876 0.881 0.667
Ti1 Ti 0.005 0.639 0.880
Ti2 Ti 0.127 0.451 0.747
Ti3 Ti 0.325 0.873 0.081
Ti4 Ti 0.361 0.367 0.547
Ti5 Ti 0.549 0.675 0.414
Ti6 Ti 0.633 0.995 0.213
Al1 Al 0.165 0.482 0.212
Al2 Al 0.317 0.835 0.546
Al3 Al 0.518 0.683 0.879
F1 F 0.022 0.751 0.026
F2 F 0.049 0.764 0.527
F3 F 0.061 0.164 0.511
F4 F 0.072 0.401 0.328
F5 F 0.103 0.939 0.844
F6 F 0.119 0.701 0.210
F7 F 0.220 0.556 0.584
F8 F 0.236 0.285 0.194
F9 F 0.243 0.557 0.088
F10 F 0.249 0.270 0.693
F11 F 0.299 0.417 0.877
F12 F 0.314 0.757 0.422
F13 F 0.329 0.928 0.661
F14 F 0.336 0.780 0.918
F15 F 0.373 0.149 0.025
F16 F 0.384 0.368 0.400
F17 F 0.406 0.103 0.502
F18 F 0.443 0.686 0.755
F19 F 0.444 0.664 0.251
F20 F 0.552 0.174 0.282
F21 F 0.583 0.881 0.544
F22 F 0.599 0.671 0.995
F23 F 0.622 0.448 0.615
F24 F 0.632 0.016 0.067
F25 F 0.697 0.594 0.836
F26 F 0.715 0.951 0.860
F27 F 0.730 0.978 0.360
F28 F 0.777 0.627 0.359
F29 F 0.826 0.378 0.949
F30 F 0.836 0.897 0.178
F31 F 0.851 0.223 0.692
F32 F 0.897 0.303 0.169
F33 F 0.984 0.616 0.733
```

Top 10 peaks for 2θ = 10–90°, low angle first:
d = 3.804 Å, 23.39 deg, I = 100; d = 3.614 Å, 24.63 deg, I = 63; d = 3.303 Å, 26.99 deg, I = 73; d = 3.156 Å, 28.28 deg, I = 63; d = 3.096 Å, 28.84 deg, I = 48; d = 2.942 Å, 30.38 deg, I = 37; d = 2.312 Å, 38.95 deg, I = 76; d = 2.209 Å, 40.85 deg, I = 38; d = 2.010 Å, 45.10 deg, I = 47; d = 1.869 Å, 48.71 deg, I = 40

The following is a theoretical powder XRD pattern of MgTe2Mo2W2Se4S2. It was derived from a cell relaxed with PBE, using Cu Kα, 1.54184 Å.
Kinematic intensities with the Lorentz-polarization factor, no thermal factor.

Crystal structure
```
data_MgTe2Mo2W2Se4S2
_chemical_formula_sum 'Mg1 Te2 Mo2 W2 Se4 S2'
_cell_length_a 3.334
_cell_length_b 3.334
_cell_length_c 45.707
_cell_angle_alpha 90.00
_cell_angle_beta 90.00
_cell_angle_gamma 120.00
_symmetry_space_group_name_H-M 'P 1'
_symmetry_Int_Tables_number 1
loop_
_symmetry_equiv_pos_as_xyz
'x,y,z'
loop_
_atom_site_label
_atom_site_type_symbol
_atom_site_fract_x
_atom_site_fract_y
_atom_site_fract_z
Mg1 Mg 0.000 0.000 0.000
Te1 Te 0.667 0.333 0.492
Te2 Te 0.667 0.333 0.576
Mo1 Mo 0.333 0.667 0.534
Mo2 Mo 0.333 0.667 0.903
W1 W 0.667 0.333 0.106
W2 W 0.667 0.333 0.722
Se1 Se 0.333 0.667 0.069
Se2 Se 0.333 0.667 0.142
Se3 Se 0.667 0.333 0.867
Se4 Se 0.667 0.333 0.940
S1 S 0.333 0.667 0.689
S2 S 0.333 0.667 0.755
```

Top 10 peaks for 2θ = 10–90°, low angle first:
d = 7.618 Å, 11.62 deg, I = 47; d = 2.886 Å, 30.98 deg, I = 59; d = 2.753 Å, 32.52 deg, I = 37; d = 2.577 Å, 34.81 deg, I = 76; d = 2.371 Å, 37.95 deg, I = 29; d = 2.231 Å, 40.42 deg, I = 100; d = 1.907 Å, 47.70 deg, I = 23; d = 1.667 Å, 55.09 deg, I = 37; d = 1.640 Å, 56.08 deg, I = 22; d = 1.336 Å, 70.51 deg, I = 19

The following is a theoretical powder XRD pattern of Na6Ti11O24. It was derived from a cell relaxed with PBE, using Cu Kα, 1.54184 Å.
Kinematic intensities with the Lorentz-polarization factor, no thermal factor.

Crystal structure
```
data_Na6Ti11O24
_chemical_formula_sum 'Na6 Ti11 O24'
_cell_length_a 6.215
_cell_length_b 6.215
_cell_length_c 15.084
_cell_angle_alpha 91.05
_cell_angle_beta 91.05
_cell_angle_gamma 58.74
_symmetry_space_group_name_H-M 'P 1'
_symmetry_Int_Tables_number 1
loop_
_symmetry_equiv_pos_as_xyz
'x,y,z'
loop_
_atom_site_label
_atom_site_type_symbol
_atom_site_fract_x
_atom_site_fract_y
_atom_site_fract_z
Na1 Na 0.000 0.000 0.000
Na2 Na 0.003 0.003 0.747
Na3 Na 0.337 0.337 0.665
Na4 Na 0.502 0.502 0.873
Na5 Na 0.665 0.665 0.079
Na6 Na 0.672 0.672 0.331
Ti1 Ti 0.000 0.000 0.377
Ti2 Ti 0.000 0.502 0.872
Ti3 Ti 0.168 0.665 0.210
Ti4 Ti 0.171 0.171 0.211
Ti5 Ti 0.333 0.333 0.035
Ti6 Ti 0.334 0.837 0.536
Ti7 Ti 0.502 0.000 0.872
Ti8 Ti 0.665 0.168 0.210
Ti9 Ti 0.668 0.668 0.709
Ti10 Ti 0.834 0.834 0.537
Ti11 Ti 0.837 0.334 0.536
O1 O 0.001 0.001 0.145
O2 O 0.002 0.002 0.602
O3 O 0.046 0.473 0.137
O4 O 0.142 0.142 0.463
O5 O 0.145 0.718 0.461
O6 O 0.165 0.609 0.963
O7 O 0.186 0.186 0.951
O8 O 0.284 0.857 0.285
O9 O 0.316 0.316 0.810
O10 O 0.337 0.337 0.274
O11 O 0.394 0.839 0.783
O12 O 0.472 0.472 0.131
O13 O 0.473 0.046 0.137
O14 O 0.531 0.531 0.617
O15 O 0.531 0.955 0.611
O16 O 0.609 0.165 0.963
O17 O 0.666 0.666 0.473
O18 O 0.687 0.687 0.936
O19 O 0.718 0.145 0.461
O20 O 0.818 0.818 0.796
O21 O 0.839 0.394 0.783
O22 O 0.857 0.284 0.285
O23 O 0.860 0.860 0.284
O24 O 0.955 0.531 0.611
```

Top 10 peaks for 2θ = 10–90°, low angle first:
d = 5.131 Å, 17.28 deg, I = 95; d = 5.027 Å, 17.64 deg, I = 52; d = 4.995 Å, 17.76 deg, I = 100; d = 2.635 Å, 34.03 deg, I = 33; d = 2.621 Å, 34.21 deg, I = 67; d = 2.608 Å, 34.38 deg, I = 58; d = 2.182 Å, 41.38 deg, I = 97; d = 2.178 Å, 41.47 deg, I = 49; d = 1.553 Å, 59.52 deg, I = 44; d = 1.530 Å, 60.52 deg, I = 44

The following is a theoretical powder XRD pattern of CsNd2Ti2NbO10. It was derived from a cell relaxed with PBE, using Cu Kα, 1.54184 Å.
Kinematic intensities with the Lorentz-polarization factor, no thermal factor.

Crystal structure
```
data_CsNd2Ti2NbO10
_chemical_formula_sum 'Cs1 Nd2 Ti2 Nb1 O10'
_cell_length_a 3.873
_cell_length_b 3.873
_cell_length_c 15.768
_cell_angle_alpha 90.51
_cell_angle_beta 90.51
_cell_angle_gamma 89.80
_symmetry_space_group_name_H-M 'P 1'
_symmetry_Int_Tables_number 1
loop_
_symmetry_equiv_pos_as_xyz
'x,y,z'
loop_
_atom_site_label
_atom_site_type_symbol
_atom_site_fract_x
_atom_site_fract_y
_atom_site_fract_z
Cs1 Cs 0.000 0.000 0.000
Nd1 Nd 0.985 0.985 0.384
Nd2 Nd 0.988 0.988 0.667
Ti1 Ti 0.499 0.499 0.795
Ti2 Ti 0.511 0.511 0.513
Nb1 Nb 0.499 0.499 0.233
O1 O 0.001 0.498 0.759
O2 O 0.005 0.510 0.267
O3 O 0.025 0.546 0.503
O4 O 0.497 0.497 0.119
O5 O 0.498 0.001 0.759
O6 O 0.502 0.502 0.903
O7 O 0.510 0.005 0.267
O8 O 0.516 0.516 0.633
O9 O 0.523 0.523 0.385
O10 O 0.546 0.025 0.503
```

Top 10 peaks for 2θ = 10–90°, low angle first:
d = 5.256 Å, 16.87 deg, I = 36; d = 3.131 Å, 28.51 deg, I = 100; d = 3.105 Å, 28.76 deg, I = 100; d = 2.775 Å, 32.26 deg, I = 17; d = 2.745 Å, 32.62 deg, I = 63; d = 2.734 Å, 32.76 deg, I = 47; d = 2.423 Å, 37.10 deg, I = 25; d = 1.937 Å, 46.91 deg, I = 61; d = 1.645 Å, 55.90 deg, I = 18; d = 1.641 Å, 56.04 deg, I = 30